PrNd2Y8: theoretical powder diffractogram (Cu Kα, 1.54184 Å), based on a crystal structure in Alexandria, relaxed with GGA-PBE.
Neutral-atom scattering factors, no anomalous dispersion.

Crystal structure
a b c (Å): 16.7404 6.6992 6.7296
angles (deg): 90.00 98.99 90.00
Space group C2/m (No. 12)
Inequivalent atoms, fractional coordinates:
1 Pr 0.0000 0.0000 0.0000 [2 per cell]
2 Nd 0.2456 0.0000 0.3101 [4 per cell]
3 Y 0.0881 0.5000 0.9032 [4 per cell]
4 Y 0.0890 0.2618 0.4049 [8 per cell]
5 Y 0.2048 0.0000 0.8029 [4 per cell]

Top 12 peaks for 10 to 90 degrees two-theta, in order of rising 2θ:
| 2theta | I (rel.) | hkl |
| --- | --- | --- |
| 23.50 | 21 | 4 0 -1 |
| 28.76 | 25 | 2 2 0 |
| 29.87 | 48 | 0 2 1 |
| 30.14 | 49 | 5 1 0 |
| 30.52 | 91 | 2 0 2 |
| 31.26 | 56 | 5 1 -1 |
| 32.11 | 73 | 3 1 -2 |
| 32.53 | 100 | 2 2 1 |
| 34.46 | 42 | 4 2 0 |
| 38.50 | 22 | 2 2 -2 |
| 49.99 | 22 | 5 3 -1 |
| 57.19 | 21 | 4 2 3 |